The following is a calculated powder XRD pattern of Te2Mo2SeS. It was derived from a cell relaxed with PBE, using CuKα.

Lattice parameters (Å, degrees): 3.3989 3.3989 38.6934 90.00 90.00 120.00
Space group P3m1 (No. 156)
Asymmetric unit:
Te: 0.0000 0.0000 0.0000
Te: 0.0000 0.0000 0.0967
Te: 0.3333 0.6667 0.8120
Te: 0.3333 0.6667 0.9087
Mo: 0.0000 0.0000 0.4847
Mo: 0.0000 0.0000 0.8604
Mo: 0.3333 0.6667 0.0484
Mo: 0.3333 0.6667 0.6726
Se: 0.3333 0.6667 0.4421
Se: 0.3333 0.6667 0.5273
S: 0.0000 0.0000 0.6337
S: 0.0000 0.0000 0.7115

The 10 most intense peaks (2θ from 10° to 90°), in order of rising 2θ:
d 7.739, rel. 87, (0 0 5); d 2.941, rel. 59, (1 0 0); d 2.514, rel. 100, (0 1 8); d 2.429, rel. 15, (0 1 9); d 2.343, rel. 17, (0 1 10); d 2.093, rel. 57, (1 0 13); d 2.015, rel. 16, (0 1 14); d 1.699, rel. 38, (1 1 0); d 1.408, rel. 16, (2 0 8); d 1.249, rel. 17, (1 1 21)